Theoretical powder diffraction line list of LaMg6Cu6 for Cu Kα (λ = 1.5418 Å), from the PBE geometry in Alexandria.

Main lines, by angle (2θ from 15° to 90°):
2θ = 19.16°, rel. 20, hkl 0 2 0; 2θ = 27.13°, rel. 19, hkl 0 2 2; 2θ = 27.36°, rel. 49, hkl 1 2 1; 2θ = 33.65°, rel. 16, hkl 1 3 0; 2θ = 38.59°, rel. 30, hkl 0 0 4; 2θ = 38.88°, rel. 100, hkl 0 4 0; 2θ = 39.35°, rel. 75, hkl 2 0 2; 2θ = 44.10°, rel. 31, hkl 2 2 2; 2θ = 55.94°, rel. 18, hkl 0 4 4; 2θ = 56.49°, rel. 23, hkl 2 4 2; 2θ = 64.23°, rel. 15, hkl 3 2 3; 2θ = 70.35°, rel. 21, hkl 2 0 6

Crystal structure
Cell lengths 5.2604, 9.2648, 9.3314 Å; angles 90.00, 90.00, 90.00 degrees
Space group Immm (No. 71)
Unique sites:
La1 0.0000 0.0000 0.0000 (multiplicity 2)
Mg1 0.0000 0.0000 0.3480 (multiplicity 4)
Mg2 0.0000 0.3401 0.0000 (multiplicity 4)
Mg3 0.0000 0.5000 0.3046 (multiplicity 4)
Cu1 0.0000 0.2713 0.5000 (multiplicity 4)
Cu2 0.2500 0.2500 0.2500 (multiplicity 8)